No. 1
The following is a computed powder XRD pattern of Nd4GaBi3. It was derived from a cell relaxed with PBE, using a wavelength of 1.5418 Å.

Principal peaks in the range 2θ = 5–70°, low angle first:
Position (°2θ)  intensity  index
13.8  5  1 0 0
27.7  100  2 0 0
39.6  78  2 2 0
49.0  28  2 2 2
57.2  13  4 0 0
64.8  37  4 2 0

```
Nd4GaBi3
1.0
6.4375 0.0000 0.0000
0.0000 6.4375 0.0000
0.0000 0.0000 6.4375
Nd Ga Bi
4 1 3
direct
0.0000 0.0000 0.0000
0.0000 0.5000 0.5000
0.5000 0.0000 0.5000
0.5000 0.5000 0.0000
0.5000 0.5000 0.5000
0.0000 0.0000 0.5000
0.0000 0.5000 0.0000
0.5000 0.0000 0.0000
```

***

No. 2
The following is a computed powder XRD pattern of Nd5GaBi2. It was derived from a cell relaxed with PBE, using a wavelength of 1.5418 Å.

Principal peaks in the range 2θ = 5–70°, low angle first:
Position (°2θ)  intensity  index
29.3  100  2 1 1
30.0  48  1 4 0
30.2  74  1 3 1
31.7  64  2 2 1
38.0  45  0 0 2
49.2  30  1 4 2

```
Nd5GaBi2
1.0
8.4143 0.0000 0.0000
0.0000 12.7217 0.0000
0.0000 0.0000 4.7318
Nd Ga Bi
10 2 4
direct
0.0000 0.0000 0.0000
0.1467 0.2895 0.0000
0.1972 0.5627 0.5000
0.3028 0.0627 0.5000
0.3533 0.7895 0.0000
0.5000 0.5000 0.0000
0.6467 0.2105 0.0000
0.6972 0.9373 0.5000
0.8028 0.4373 0.5000
0.8533 0.7105 0.0000
0.0000 0.5000 0.0000
0.5000 0.0000 0.0000
0.0799 0.8252 0.5000
0.4201 0.3252 0.5000
0.5799 0.6748 0.5000
0.9201 0.1748 0.5000
```